Diffraction record for La2Zn10Cd. The powder diffraction line list is computed, not measured: it uses a PBE-relaxed structure and a wavelength of 1.5418 Å.

Peak list (10 most intense, 15 to 90 degrees two-theta, low angle first)
2θ = 29.86°, intensity 40; 2θ = 32.61°, intensity 45; 2θ = 33.40°, intensity 70; 2θ = 33.66°, intensity 81; 2θ = 35.24°, intensity 59; 2θ = 35.50°, intensity 100; 2θ = 36.19°, intensity 49; 2θ = 40.11°, intensity 35; 2θ = 42.19°, intensity 50; 2θ = 42.93°, intensity 42

Atomic structure:
```
La2Zn10Cd
1.0
6.083 0.000 0.000
0.000 6.873 0.000
-0.324 0.000 11.998
La Zn Cd
4 20 2
direct
0.046 0.233 0.438 La
0.046 0.267 0.938 La
0.954 0.733 0.062 La
0.954 0.767 0.562 La
0.141 0.690 0.323 Zn
0.141 0.810 0.823 Zn
0.231 0.106 0.699 Zn
0.231 0.394 0.199 Zn
0.250 0.022 0.210 Zn
0.250 0.478 0.710 Zn
0.426 0.622 0.932 Zn
0.426 0.878 0.432 Zn
0.460 0.710 0.165 Zn
0.460 0.790 0.665 Zn
0.540 0.210 0.335 Zn
0.540 0.290 0.835 Zn
0.574 0.122 0.568 Zn
0.574 0.378 0.068 Zn
0.750 0.522 0.290 Zn
0.750 0.978 0.790 Zn
0.769 0.606 0.801 Zn
0.769 0.894 0.301 Zn
0.859 0.190 0.177 Zn
0.859 0.310 0.677 Zn
0.500 0.000 0.000 Cd
0.500 0.500 0.500 Cd
```